Record 1
Starting from a DFT-relaxed cell (PBE, Alexandria), the powder diffractogram of BaCu2Si2O7 was simulated for Cu Kα, 1.54184 Å.

Atomic structure:
a = 7.0011 Å, b = 13.2911 Å, c = 6.9785 Å
α = 90.00°, β = 90.00°, γ = 90.00°
Space group Pnma (No. 62)
Asymmetric unit:
Ba: 0.0173 0.2500 0.0423
Cu: 0.2227 0.5039 0.7911
Si: 0.0033 0.1339 0.5252
O: 0.0709 0.1158 0.7460
O: 0.0907 0.7500 0.4873
O: 0.1736 0.1337 0.3638
O: 0.1776 0.5592 0.5312

Main lines, by angle (10 to 90 degrees two-theta):
22.42 deg, intensity 32, hkl 1 2 1; 28.86 deg, intensity 100, hkl 2 2 0; 32.47 deg, intensity 36, hkl 1 4 1; 36.35 deg, intensity 24, hkl 2 0 2; 45.76 deg, intensity 16, hkl 2 4 2; 48.66 deg, intensity 20, hkl 2 6 0

Record 2
Starting from a DFT-relaxed cell (PBE, Alexandria), the powder diffractogram of Ba2SmCu4O8 was simulated for Cu Kα, 1.54184 Å.

Atomic structure:
a = 3.9115 Å, b = 27.6461 Å, c = 3.9092 Å
α = 90.00°, β = 90.00°, γ = 90.00°
Space group Cmmm (No. 65)
Asymmetric unit:
Ba: 0.0000 0.1368 0.0000
Sm: 0.0000 0.0000 0.0000
Cu: 0.0000 0.2866 0.5000
Cu: 0.0000 0.4368 0.5000
O: 0.0000 0.0538 0.5000
O: 0.0000 0.2182 0.5000
O: 0.0000 0.3534 0.5000
O: 0.0000 0.4460 0.0000

Main lines, by angle (10 to 90 degrees two-theta):
29.98 deg, intensity 47, hkl 0 6 1; 32.21 deg, intensity 100, hkl 1 7 0; 32.54 deg, intensity 99, hkl 1 1 1; 34.65 deg, intensity 63, hkl 0 8 1; 46.44 deg, intensity 64, hkl 2 0 0; 57.66 deg, intensity 38, hkl 1 7 2